Starting from DFT lattice parameters and positions (GGA-PBE), the powder X-ray diffraction pattern of Hf4MnSb2 was simulated for Cu Kα X-rays.
Kinematic intensities with the Lorentz-polarization factor, no thermal factor.

Structure:
Lattice parameters (Å, degrees): 6.1964 3.2709 8.1657 90.00 112.00 90.00
Space group P2/m (No. 10)
Inequivalent atoms, fractional coordinates:
Hf 0.1457 0.0000 0.3613 (multiplicity 2)
Hf 0.3492 0.5000 0.7263 (multiplicity 2)
Mn 0.5000 0.5000 0.5000 (multiplicity 1)
Sb 0.2501 0.0000 0.0101 (multiplicity 2)

Main lines, sorted by position (2θ from 10° to 90°):
| two_theta | d [Å] | Rel. int. |
| --- | --- | --- |
| 28.82 | 3.098 | 15 |
| 31.25 | 2.862 | 22 |
| 31.48 | 2.842 | 54 |
| 32.99 | 2.715 | 28 |
| 35.57 | 2.524 | 26 |
| 35.76 | 2.511 | 100 |
| 36.30 | 2.475 | 26 |
| 37.41 | 2.404 | 37 |
| 37.61 | 2.391 | 17 |
| 41.93 | 2.155 | 38 |
| 56.25 | 1.635 | 17 |
| 64.45 | 1.446 | 20 |

Starting from DFT lattice parameters and positions (GGA-PBE), the powder X-ray diffraction pattern of Pm12Pr5Sm2 was simulated for Cu Kα X-rays.
Kinematic intensities with the Lorentz-polarization factor, no thermal factor.

Structure:
Lattice parameters (Å, degrees): 22.6066 7.2099 8.8406 90.00 110.03 90.00
Space group C2/m (No. 12)
Inequivalent atoms, fractional coordinates:
Pm 0.0483 0.0000 0.1936 (multiplicity 4)
Pm 0.1061 0.2428 0.8836 (multiplicity 8)
Pm 0.1445 0.5000 0.5638 (multiplicity 4)
Pm 0.2001 0.2467 0.2931 (multiplicity 8)
Pr 0.0000 0.5000 0.0000 (multiplicity 2)
Pr 0.1513 0.0000 0.5946 (multiplicity 4)
Pr 0.2486 0.5000 0.9897 (multiplicity 4)
Sm 0.0000 0.2449 0.5000 (multiplicity 4)

Main lines, sorted by position (2θ from 10° to 90°):
| two_theta | d [Å] | Rel. int. |
| --- | --- | --- |
| 29.82 | 2.996 | 100 |
| 30.45 | 2.936 | 36 |
| 30.66 | 2.916 | 37 |
| 33.25 | 2.695 | 36 |
| 35.84 | 2.505 | 48 |
| 49.55 | 1.840 | 17 |
| 49.83 | 1.830 | 19 |
| 50.65 | 1.802 | 12 |
| 57.30 | 1.608 | 14 |
| 60.37 | 1.533 | 11 |
| 61.70 | 1.503 | 12 |
| 61.94 | 1.498 | 12 |

Starting from DFT lattice parameters and positions (GGA-PBE), the powder X-ray diffraction pattern of ScCrMo was simulated for Cu Kα X-rays.
Kinematic intensities with the Lorentz-polarization factor, no thermal factor.

Structure:
Lattice parameters (Å, degrees): 10.1611 3.9114 5.3483 90.00 91.05 90.00
Space group Cm (No. 8)
Inequivalent atoms, fractional coordinates:
Sc 0.0000 0.0000 0.0000 (multiplicity 2)
Sc 0.0667 0.5000 0.4925 (multiplicity 2)
Cr 0.2249 0.5000 0.0093 (multiplicity 2)
Cr 0.2761 0.0000 0.2441 (multiplicity 2)
Mo 0.2736 0.0000 0.7576 (multiplicity 2)
Mo 0.3483 0.5000 0.4840 (multiplicity 2)

Main lines, sorted by position (2θ from 10° to 90°):
| two_theta | d [Å] | Rel. int. |
| --- | --- | --- |
| 17.46 | 5.080 | 100 |
| 24.39 | 3.650 | 20 |
| 35.05 | 2.560 | 29 |
| 35.34 | 2.540 | 23 |
| 38.78 | 2.322 | 55 |
| 39.22 | 2.297 | 22 |
| 39.56 | 2.278 | 26 |
| 41.74 | 2.164 | 61 |
| 42.02 | 2.150 | 64 |
| 46.43 | 1.956 | 37 |
| 62.60 | 1.484 | 19 |
| 69.02 | 1.361 | 19 |

Starting from DFT lattice parameters and positions (GGA-PBE), the powder X-ray diffraction pattern of La4Pm10Dy was simulated for Cu Kα X-rays.
Kinematic intensities with the Lorentz-polarization factor, no thermal factor.

Structure:
Lattice parameters (Å, degrees): 11.6138 11.6138 8.0042 90.00 90.00 90.00
Space group I4/mmm (No. 139)
Inequivalent atoms, fractional coordinates:
La 0.2270 0.2270 0.0000 (multiplicity 8)
Pm 0.0000 0.2093 0.2903 (multiplicity 16)
Pm 0.0000 0.5000 0.2500 (multiplicity 4)
Dy 0.0000 0.0000 0.0000 (multiplicity 2)

Main lines, sorted by position (2θ from 10° to 90°):
| two_theta | d [Å] | Rel. int. |
| --- | --- | --- |
| 27.06 | 3.295 | 45 |
| 29.90 | 2.988 | 49 |
| 30.80 | 2.903 | 100 |
| 31.21 | 2.866 | 95 |
| 33.11 | 2.706 | 42 |
| 34.49 | 2.600 | 27 |
| 39.90 | 2.259 | 49 |
| 44.11 | 2.053 | 27 |
| 52.21 | 1.752 | 24 |
| 55.80 | 1.648 | 22 |
| 65.07 | 1.433 | 32 |
| 65.50 | 1.425 | 32 |

Starting from DFT lattice parameters and positions (GGA-PBE), the powder X-ray diffraction pattern of CeGe2Se6 was simulated for Cu Kα X-rays.
Kinematic intensities with the Lorentz-polarization factor, no thermal factor.

Structure:
Lattice parameters (Å, degrees): 13.4433 11.6890 6.9879 90.00 107.66 90.00
Space group C2/c (No. 15)
Inequivalent atoms, fractional coordinates:
Ce 0.0000 0.1330 0.2500 (multiplicity 4)
Ge 0.1974 0.4253 0.2483 (multiplicity 8)
Se 0.1136 0.0718 0.6611 (multiplicity 8)
Se 0.1277 0.4157 0.5254 (multiplicity 8)
Se 0.1342 0.2531 0.0782 (multiplicity 8)

Main lines, sorted by position (2θ from 10° to 90°):
| two_theta | d [Å] | Rel. int. |
| --- | --- | --- |
| 18.42 | 4.818 | 43 |
| 22.15 | 4.012 | 100 |
| 26.15 | 3.407 | 34 |
| 26.35 | 3.382 | 46 |
| 26.81 | 3.326 | 71 |
| 28.45 | 3.137 | 65 |
| 31.09 | 2.877 | 33 |
| 31.23 | 2.864 | 72 |
| 33.49 | 2.676 | 34 |
| 41.79 | 2.161 | 65 |
| 47.82 | 1.902 | 75 |
| 49.64 | 1.837 | 39 |

Starting from DFT lattice parameters and positions (GGA-PBE), the powder X-ray diffraction pattern of LiMnN2 was simulated for Cu Kα X-rays.
Kinematic intensities with the Lorentz-polarization factor, no thermal factor.

Structure:
Lattice parameters (Å, degrees): 4.5517 4.5517 8.3802 90.00 90.00 90.00
Space group I-42d (No. 122)
Inequivalent atoms, fractional coordinates:
Li 0.0000 0.0000 0.0000 (multiplicity 4)
Mn 0.0000 0.0000 0.5000 (multiplicity 4)
N 0.1841 0.2500 0.6250 (multiplicity 8)

Main lines, sorted by position (2θ from 10° to 90°):
| two_theta | d [Å] | Rel. int. |
| --- | --- | --- |
| 22.23 | 4.000 | 100 |
| 35.16 | 2.552 | 73 |
| 37.79 | 2.381 | 13 |
| 39.60 | 2.276 | 9 |
| 45.88 | 1.978 | 16 |
| 55.89 | 1.645 | 13 |
| 57.25 | 1.609 | 11 |
| 60.02 | 1.541 | 20 |
| 68.99 | 1.361 | 16 |
| 73.14 | 1.294 | 5 |
| 73.98 | 1.281 | 7 |
| 76.28 | 1.248 | 6 |